1.
Structure and calculated powder XRD pattern of HfTaNO3 (a cell relaxed with PBE; copper Kα).
No peak broadening, texture or thermal motion is included.

Cell and atoms:
```
12
Lattice="5.0773 0.0000 0.0000 0.0000 5.1191 0.0000 -0.8609 0.0000 5.2434" Properties=species:S:1:pos:R:3 pbc="T T T"
Hf 1.0772 0.0000 0.1887
Hf 3.1392 2.5596 5.0547
Ta 0.6145 3.0377 2.8152
Ta 3.6019 0.4781 2.4282
N 0.0115 1.5620 1.5225
N 4.2049 4.1215 3.7209
O -0.3922 1.4985 4.0543
O 1.4036 3.5872 4.6900
O 1.8966 4.3310 2.0792
O 2.3197 1.7714 3.1642
O 2.8128 1.0277 0.5533
O 4.6086 4.0580 1.1891
```

Largest 12 diffraction maxima, most intense first, 5 to 70 degrees two-theta:
2θ/deg	I (rel.)
28.5	100.0
31.9	82.3
34.2	28.8
35.8	21.5
41.3	19.6
51.0	18.9
49.8	18.3
35.1	18.2
24.9	15.2
39.2	13.2
54.6	12.5
24.3	11.3

=====

2.
Structure and calculated powder XRD pattern of K2SrCl4 (a cell relaxed with PBE; copper Kα).
No peak broadening, texture or thermal motion is included.

Cell and atoms:
```
28
Lattice="8.0037 0.0000 0.0000 0.0000 13.2060 0.0000 -2.7640 0.0000 7.7727" Properties=species:S:1:pos:R:3 pbc="T T T"
K 0.0000 0.7308 0.0000
K -1.3820 12.4753 3.8863
K -0.1099 4.1003 2.8092
K -1.4919 9.1057 6.6955
K 1.3768 1.6275 6.1655
K 2.7589 11.5785 2.2792
K 1.1365 5.8779 7.3663
K 2.5185 7.3281 3.4800
Sr 3.8650 2.7726 2.5129
Sr 2.4830 10.4334 6.3992
Sr 5.0955 4.9680 6.2464
Sr 6.4775 8.2380 2.3601
Cl -0.7458 6.5528 4.9810
Cl 0.6362 6.6533 1.0947
Cl 2.1138 3.4295 0.1750
Cl 0.7317 9.7765 4.0614
Cl 1.2746 1.1358 2.8987
Cl -0.1074 12.0702 6.7850
Cl 2.4942 4.2793 4.6646
Cl 3.8762 8.9267 0.7782
Cl 4.9955 0.3564 1.4605
Cl 3.6135 12.8496 5.3468
Cl 4.9215 5.7074 2.5270
Cl 3.5395 7.4987 6.4133
Cl 6.1747 3.3967 0.2691
Cl 4.7927 9.8094 4.1554
Cl 5.8817 2.5984 4.6685
Cl 7.2637 10.6076 0.7822
```

Largest 12 diffraction maxima, most intense first, 5 to 70 degrees two-theta:
2θ/deg	I (rel.)
30.2	100.0
30.4	96.1
30.0	93.5
36.1	39.1
35.7	26.9
36.3	24.6
35.3	23.9
35.5	22.6
23.4	22.0
22.9	19.1
14.9	17.6
43.6	16.9

=====

3.
Structure and calculated powder XRD pattern of Tb4Ce3S8 (a cell relaxed with PBE; copper Kα).
No peak broadening, texture or thermal motion is included.

Cell and atoms:
```
15
Lattice="5.6123 -5.6160 0.0000 5.6123 5.6160 0.0000 -5.5766 0.0000 5.6173" Properties=species:S:1:pos:R:3 pbc="T T T"
Tb 0.0000 0.0000 0.0000
Tb -2.7883 0.0000 2.8087
Tb 2.8061 2.8080 0.0000
Tb 2.8061 -2.8080 0.0000
Ce 0.0178 2.8080 2.8087
Ce 0.0178 -2.8080 2.8087
Ce 2.8240 0.0000 2.8087
S -0.0197 0.0000 2.7762
S -2.7874 0.0000 5.5874
S 2.8240 2.8434 2.8087
S 5.6123 2.8346 0.0000
S 5.6123 -2.8346 0.0000
S 2.8240 -2.8434 2.8087
S 8.4353 0.0000 0.0300
S 5.6676 0.0000 2.8412
```

Largest 12 diffraction maxima, most intense first, 5 to 70 degrees two-theta:
2θ/deg	I (rel.)
31.9	100.0
45.7	47.9
27.5	33.8
27.6	33.4
54.1	16.8
54.3	16.6
13.6	15.2
56.7	12.5
56.9	12.3
45.6	12.1
45.9	11.9
66.6	11.5